Zr2Pd: theoretical XRD peak list (CuKα), based on a crystal structure in the Materials Project, relaxed with GGA-PBE.
Kinematic intensities with the Lorentz-polarization factor, no thermal factor.

Structural model:
```
Zr2Pd
1.0
-1.6790 1.6790 5.4220
1.6790 -1.6790 5.4220
1.6790 1.6790 -5.4220
Zr Pd
2 1
direct
0.1567 0.1567 0.0000
0.8433 0.8433 0.0000
0.5000 0.5000 0.0000
```

The 6 most intense peaks (2θ = 15–90°), sorted by position:
2θ = 36.5°, I = 1000; 2θ = 37.9°, I = 461; 2θ = 54.7°, I = 155; 2θ = 64.8°, I = 167; 2θ = 67.5°, I = 315; 2θ = 77.6°, I = 98